Diffraction record for SbS2. The powder diffraction line list is simulated, not measured: it uses DFT lattice parameters and positions (GGA-PBE) and copper Kα.
Intensities are scaled so that the largest is 100.

Structural model:
Cell lengths 7.2099, 7.2099, 7.2099 Å; angles 130.29, 130.29, 72.95 degrees
Fractional coordinates of all 6 atoms:
Sb: 0.0000 0.0000 0.0000
Sb: 0.7500 0.2500 0.5000
S: 0.1010 0.6250 0.9760
S: 0.3750 0.3510 0.4760
S: 0.6490 0.1250 0.0240
S: 0.8750 0.8990 0.5240

Largest 6 diffraction maxima, in order of rising 2θ, 2θ from 10° to 90°:
2θ (°), I (rel.)
16.50, 100.0
25.85, 79.8
27.37, 23.0
33.96, 26.6
43.19, 34.5
50.12, 23.9